# 1
Computed XRD peak list
Compound: K7I5Br
Radiation: CuKα
Structure: a cell relaxed with GGA-PBE
Kinematic intensities with the Lorentz-polarization factor, no thermal factor.

Cell and atoms:
```
K7I5Br
1.0
8.498 -2.454 0.000
8.498 2.454 0.000
-0.066 0.000 30.229
K I Br
14 10 2
direct
0.000 0.000 0.000
0.000 0.000 0.136
0.099 0.099 0.711
0.100 0.100 0.425
0.270 0.270 0.211
0.270 0.270 0.925
0.368 0.368 0.637
0.370 0.370 0.500
0.547 0.547 0.282
0.547 0.547 0.855
0.614 0.614 0.568
0.755 0.755 0.068
0.822 0.822 0.355
0.822 0.822 0.782
0.184 0.184 0.818
0.185 0.185 0.318
0.460 0.460 0.392
0.460 0.460 0.744
0.637 0.637 0.174
0.637 0.637 0.962
0.731 0.731 0.674
0.733 0.733 0.462
0.909 0.909 0.244
0.909 0.909 0.892
0.419 0.419 0.068
0.950 0.950 0.569
```

Most intense lines, 15° ≤ 2θ ≤ 90°, sorted by position:
- 2θ = 20.49°, rel. 68
- 2θ = 24.71°, rel. 59
- 2θ = 25.59°, rel. 100
- 2θ = 25.80°, rel. 41
- 2θ = 32.73°, rel. 39
- 2θ = 35.27°, rel. 38
- 2θ = 35.39°, rel. 29
- 2θ = 36.61°, rel. 35

---

# 2
Computed XRD peak list
Compound: K7IBr2O2
Radiation: CuKα
Structure: a cell relaxed with GGA-PBE
Kinematic intensities with the Lorentz-polarization factor, no thermal factor.

Cell and atoms:
```
K7IBr2O2
1.0
-2.651 2.651 13.734
2.651 -2.651 13.734
2.651 2.651 -13.734
K I Br O
7 1 2 2
direct
0.000 0.000 0.000
0.099 0.599 0.500
0.192 0.192 0.000
0.401 0.901 0.500
0.599 0.099 0.500
0.808 0.808 0.000
0.901 0.401 0.500
0.500 0.500 0.000
0.315 0.315 0.000
0.685 0.685 0.000
0.099 0.099 0.000
0.901 0.901 0.000
```

Most intense lines, 15° ≤ 2θ ≤ 90°, sorted by position:
- 2θ = 23.32°, rel. 35
- 2θ = 23.73°, rel. 40
- 2θ = 27.10°, rel. 52
- 2θ = 30.83°, rel. 100
- 2θ = 32.60°, rel. 31
- 2θ = 33.82°, rel. 72
- 2θ = 47.68°, rel. 39
- 2θ = 58.64°, rel. 29

---

# 3
Computed XRD peak list
Compound: K6I2BrO
Radiation: CuKα
Structure: a cell relaxed with GGA-PBE
Kinematic intensities with the Lorentz-polarization factor, no thermal factor.

Cell and atoms:
```
K6I2BrO
1.0
4.023 2.323 15.623
-4.023 2.323 15.623
0.000 -4.646 15.623
K I Br O
12 4 2 2
direct
0.118 0.118 0.664
0.118 0.664 0.118
0.223 0.688 0.688
0.312 0.312 0.777
0.312 0.777 0.312
0.336 0.882 0.882
0.664 0.118 0.118
0.688 0.223 0.688
0.688 0.688 0.223
0.777 0.312 0.312
0.882 0.336 0.882
0.882 0.882 0.336
0.190 0.190 0.190
0.356 0.356 0.356
0.644 0.644 0.644
0.810 0.810 0.810
0.088 0.088 0.088
0.912 0.912 0.912
0.000 0.000 0.000
0.500 0.500 0.500
```

Most intense lines, 15° ≤ 2θ ≤ 90°, sorted by position:
- 2θ = 18.38°, rel. 53
- 2θ = 22.09°, rel. 70
- 2θ = 24.49°, rel. 44
- 2θ = 26.69°, rel. 27
- 2θ = 27.31°, rel. 35
- 2θ = 28.89°, rel. 100
- 2θ = 33.21°, rel. 67
- 2θ = 45.07°, rel. 44

---

# 4
Computed XRD peak list
Compound: K2PbI2Br2
Radiation: CuKα
Structure: a cell relaxed with GGA-PBE
Kinematic intensities with the Lorentz-polarization factor, no thermal factor.

Cell and atoms:
```
K2PbI2Br2
1.0
4.667 0.000 0.000
-0.021 8.588 0.000
-2.329 -3.830 7.508
K Pb I Br
2 1 2 2
direct
0.157 0.103 0.315
0.843 0.897 0.685
0.000 0.500 0.000
0.474 0.743 0.946
0.526 0.257 0.054
0.195 0.754 0.390
0.805 0.246 0.610
```

Most intense lines, 15° ≤ 2θ ≤ 90°, sorted by position:
- 2θ = 21.68°, rel. 62
- 2θ = 23.70°, rel. 36
- 2θ = 25.06°, rel. 39
- 2θ = 28.63°, rel. 72
- 2θ = 29.17°, rel. 100
- 2θ = 30.94°, rel. 39
- 2θ = 32.84°, rel. 61
- 2θ = 43.19°, rel. 36